Starting from a DFT-relaxed cell (GGA-PBE, the Materials Project), the powder X-ray diffraction pattern of Mn6Si7Ni16 was calculated for Cu Kα.

Cell: 7.8312 7.8312 7.8312 Å, 60.00 60.00 60.00°
Sites, in units of the cell vectors:
1 Mn 0.1939 0.1939 0.8061
2 Mn 0.1939 0.8061 0.1939
3 Mn 0.1939 0.8061 0.8061
4 Mn 0.8061 0.1939 0.1939
5 Mn 0.8061 0.1939 0.8061
6 Mn 0.8061 0.8061 0.1939
7 Si 0.0000 0.0000 0.5000
8 Si 0.0000 0.5000 0.0000
9 Si 0.0000 0.5000 0.5000
10 Si 0.5000 0.0000 0.0000
11 Si 0.5000 0.0000 0.5000
12 Si 0.5000 0.5000 0.0000
13 Si 0.5000 0.5000 0.5000
14 Ni 0.1472 0.6176 0.6176
15 Ni 0.1655 0.1655 0.1655
16 Ni 0.1655 0.1655 0.5036
17 Ni 0.1655 0.5036 0.1655
18 Ni 0.3824 0.3824 0.3824
19 Ni 0.3824 0.3824 0.8528
20 Ni 0.3824 0.8528 0.3824
21 Ni 0.4964 0.8345 0.8345
22 Ni 0.5036 0.1655 0.1655
23 Ni 0.6176 0.1472 0.6176
24 Ni 0.6176 0.6176 0.1472
25 Ni 0.6176 0.6176 0.6176
26 Ni 0.8345 0.4964 0.8345
27 Ni 0.8345 0.8345 0.4964
28 Ni 0.8345 0.8345 0.8345
29 Ni 0.8528 0.3824 0.3824

Top 12 peaks for 2θ = 5–70°, in order of rising 2θ:
Position (°2θ)	Rel. int.
16.01	7.1
32.33	16.4
39.88	19.2
42.41	100.0
46.38	96.1
48.64	30.0
49.37	17.4
52.24	6.0
54.32	10.0
55.00	5.1
64.64	7.9
67.68	4.8

Starting from a DFT-relaxed cell (GGA-PBE, the Materials Project), the powder X-ray diffraction pattern of Tb3Ag was calculated for Cu Kα.

Cell: 4.8003 4.8003 4.8003 Å, 90.00 90.00 90.00°
Sites, in units of the cell vectors:
1 Tb 0.0000 0.0000 0.5000
2 Tb 0.0000 0.5000 0.0000
3 Tb 0.5000 0.0000 0.0000
4 Ag 0.5000 0.5000 0.5000

Top 10 peaks for 2θ = 5–70°, in order of rising 2θ:
Position (°2θ)	Rel. int.
18.48	1.7
26.26	1.4
32.30	100.0
37.47	50.2
42.09	0.9
46.33	0.7
54.03	34.7
57.61	0.5
64.37	40.7
67.61	11.7

Starting from a DFT-relaxed cell (GGA-PBE, the Materials Project), the powder X-ray diffraction pattern of Ca6Si2O13 was calculated for Cu Kα.

Cell: 10.1805 10.1805 7.5804 Å, 90.00 90.00 120.00°
Sites, in units of the cell vectors:
1 Ca 0.0451 0.6661 0.3783
2 Ca 0.0474 0.6653 0.8701
3 Ca 0.3339 0.3791 0.3783
4 Ca 0.3347 0.3821 0.8701
5 Ca 0.3791 0.0451 0.6217
6 Ca 0.3821 0.0474 0.1299
7 Ca 0.6179 0.9526 0.8701
8 Ca 0.6209 0.9549 0.3783
9 Ca 0.6653 0.6179 0.1299
10 Ca 0.6661 0.6209 0.6217
11 Ca 0.9526 0.3347 0.1299
12 Ca 0.9549 0.3339 0.6217
13 Si 0.3333 0.6667 0.0945
14 Si 0.3333 0.6667 0.6556
15 Si 0.6667 0.3333 0.3444
16 Si 0.6667 0.3333 0.9055
17 O 0.0720 0.3006 0.3693
18 O 0.0826 0.3183 0.8807
19 O 0.1534 0.5865 0.6034
20 O 0.1532 0.5878 0.1473
21 O 0.2286 0.9280 0.3693
22 O 0.2357 0.9174 0.8807
23 O 0.3006 0.2286 0.6307
24 O 0.3183 0.2357 0.1193
25 O 0.3333 0.6667 0.8748
26 O 0.4122 0.5653 0.1473
27 O 0.4135 0.5669 0.6034
28 O 0.4331 0.8466 0.6034
29 O 0.4347 0.8468 0.1473
30 O 0.5653 0.1532 0.8527
31 O 0.5669 0.1534 0.3966
32 O 0.5865 0.4331 0.3966
33 O 0.5878 0.4347 0.8527
34 O 0.6667 0.3333 0.1252
35 O 0.6817 0.7643 0.8807
36 O 0.6994 0.7714 0.3693
37 O 0.7643 0.0826 0.1193
38 O 0.7714 0.0720 0.6307
39 O 0.8468 0.4122 0.8527
40 O 0.8466 0.4135 0.3966
41 O 0.9174 0.6817 0.1193
42 O 0.9280 0.6994 0.6307

Top 12 peaks for 2θ = 5–70°, in order of rising 2θ:
Position (°2θ)	Rel. int.
10.03	100.0
26.75	19.0
29.38	40.9
30.42	60.5
31.12	52.9
35.88	18.8
42.79	14.9
47.73	17.5
48.01	19.0
51.19	22.8
53.41	17.1
57.90	15.0

Starting from a DFT-relaxed cell (GGA-PBE, the Materials Project), the powder X-ray diffraction pattern of Gd3Al2Ni6 was calculated for Cu Kα.

Cell: 7.7642 7.7642 7.7642 Å, 109.47 109.47 109.47°
Sites, in units of the cell vectors:
1 Gd 0.0000 0.2924 0.2924
2 Gd 0.0000 0.7076 0.7076
3 Gd 0.2924 0.0000 0.2924
4 Gd 0.2924 0.2924 0.0000
5 Gd 0.7076 0.0000 0.7076
6 Gd 0.7076 0.7076 0.0000
7 Al 0.0000 0.0000 0.5000
8 Al 0.0000 0.5000 0.0000
9 Al 0.5000 0.0000 0.0000
10 Al 0.5000 0.5000 0.5000
11 Ni 0.0000 0.3336 0.6664
12 Ni 0.0000 0.6664 0.3336
13 Ni 0.3329 0.6664 0.6664
14 Ni 0.3336 0.0000 0.6664
15 Ni 0.3336 0.3336 0.6671
16 Ni 0.3336 0.6664 0.0000
17 Ni 0.3336 0.6671 0.3336
18 Ni 0.6664 0.0000 0.3336
19 Ni 0.6664 0.3329 0.6664
20 Ni 0.6664 0.3336 0.0000
21 Ni 0.6664 0.6664 0.3329
22 Ni 0.6671 0.3336 0.3336

Top 12 peaks for 2θ = 5–70°, in order of rising 2θ:
Position (°2θ)	Rel. int.
24.32	19.8
28.15	12.4
31.56	38.6
34.66	25.3
37.54	24.8
40.24	18.9
42.79	100.0
56.20	16.0
60.19	12.3
62.12	11.4
64.02	17.0
69.55	13.0

Starting from a DFT-relaxed cell (GGA-PBE, the Materials Project), the powder X-ray diffraction pattern of SmGa5Co was calculated for Cu Kα.

Cell: 4.2659 4.2659 6.9269 Å, 90.00 90.00 90.00°
Sites, in units of the cell vectors:
1 Sm 0.0000 0.0000 0.0000
2 Ga 0.0000 0.5000 0.3139
3 Ga 0.0000 0.5000 0.6861
4 Ga 0.5000 0.0000 0.3139
5 Ga 0.5000 0.0000 0.6861
6 Ga 0.5000 0.5000 0.0000
7 Co 0.0000 0.0000 0.5000

Top 12 peaks for 2θ = 5–70°, in order of rising 2θ:
Position (°2θ)	Rel. int.
20.82	21.2
32.37	55.2
33.32	12.9
39.01	20.7
39.62	100.0
42.38	57.7
47.67	4.7
54.95	6.1
58.95	24.4
61.48	18.6
61.77	9.6
69.98	5.6